Entry 1:
Structure and theoretical powder diffractogram of GaAgAu6 (a crystal structure in Alexandria, relaxed with GGA-PBE; a wavelength of 1.5418 Å).
Intensities are scaled so that the largest is 100.

Largest 12 diffraction maxima, in order of falling intensity, 15 to 90 degrees two-theta:
- (1 1 2), 2.394 Å, 2θ 37.6, I 100
- (2 0 0), 2.096 Å, 2θ 43.2, I 34
- (3 1 2), 1.260 Å, 2θ 75.4, I 27
- (2 0 4), 1.459 Å, 2θ 63.8, I 21
- (0 0 4), 2.032 Å, 2θ 44.6, I 15
- (1 1 6), 1.232 Å, 2θ 77.5, I 12
- (2 2 4), 1.197 Å, 2θ 80.2, I 11
- (2 2 0), 1.482 Å, 2θ 62.7, I 11
- (1 0 0), 4.191 Å, 2θ 21.2, I 5
- (1 0 2), 2.917 Å, 2θ 30.6, I 4
- (0 0 2), 4.064 Å, 2θ 21.9, I 2
- (1 1 0), 2.964 Å, 2θ 30.2, I 2

Structural model:
abc: 4.1912 4.1912 8.1270
angles: 90.00 90.00 90.00
Space group P4/mmm (No. 123)
Symmetry-distinct sites (fractional):
Ga (0.0000, 0.0000, 0.0000) (multiplicity 1)
Ag (0.0000, 0.0000, 0.5000) (multiplicity 1)
Au (0.0000, 0.5000, 0.2456) (multiplicity 4)
Au (0.5000, 0.5000, 0.0000) (multiplicity 1)
Au (0.5000, 0.5000, 0.5000) (multiplicity 1)


Entry 2:
Structure and theoretical powder diffractogram of Ga2Ag2Au5 (a crystal structure in Alexandria, relaxed with GGA-PBE; a wavelength of 1.5418 Å).
Intensities are scaled so that the largest is 100.

Largest 12 diffraction maxima, in order of falling intensity, 15 to 90 degrees two-theta:
- (4 2 0), 2.732 Å, 2θ 32.8, I 100
- (0 2 2), 2.331 Å, 2θ 38.6, I 79
- (4 0 2), 2.209 Å, 2θ 40.8, I 77
- (4 4 2), 1.523 Å, 2θ 60.8, I 30
- (0 4 0), 2.102 Å, 2θ 43.0, I 26
- (0 2 0), 4.205 Å, 2θ 21.1, I 23
- (4 2 4), 1.246 Å, 2θ 76.4, I 18
- (3 3 1), 2.219 Å, 2θ 40.7, I 18
- (6 2 0), 2.081 Å, 2θ 43.5, I 17
- (1 3 1), 2.470 Å, 2θ 36.4, I 16
- (6 0 0), 2.395 Å, 2θ 37.5, I 15
- (0 6 2), 1.253 Å, 2θ 75.9, I 15

Structural model:
abc: 14.3718 8.4093 5.6021
angles: 90.00 90.00 90.00
Space group Cmce (No. 64)
Symmetry-distinct sites (fractional):
Ga (0.0000, 0.1524, 0.0054) (multiplicity 8)
Ag (0.2451, 0.0000, 0.5000) (multiplicity 8)
Au (0.0000, 0.0000, 0.5000) (multiplicity 4)
Au (0.1462, 0.2493, 0.7525) (multiplicity 16)


Entry 3:
Structure and theoretical powder diffractogram of Ga3Ag4Au (a crystal structure in Alexandria, relaxed with GGA-PBE; a wavelength of 1.5418 Å).
Intensities are scaled so that the largest is 100.

Largest 12 diffraction maxima, in order of falling intensity, 15 to 90 degrees two-theta:
- (3 1 1), 2.385 Å, 2θ 37.7, I 100
- (0 2 0), 2.065 Å, 2θ 43.8, I 49
- (3 3 1), 1.245 Å, 2θ 76.5, I 24
- (2 2 -2), 1.460 Å, 2θ 63.7, I 20
- (1 1 3), 1.247 Å, 2θ 76.4, I 12
- (2 0 -1), 4.005 Å, 2θ 22.2, I 8
- (6 0 0), 2.754 Å, 2θ 32.5, I 5
- (10 0 -2), 1.458 Å, 2θ 63.8, I 5
- (10 2 -2), 1.191 Å, 2θ 80.7, I 5
- (6 2 2), 1.194 Å, 2θ 80.5, I 5
- (6 0 2), 1.463 Å, 2θ 63.6, I 5
- (4 0 -1), 3.305 Å, 2θ 27.0, I 5

Structural model:
abc: 17.0346 4.1277 4.1289
angles: 90.00 103.83 90.00
Space group C2/m (No. 12)
Symmetry-distinct sites (fractional):
Ga (0.0000, 0.0000, 0.0000) (multiplicity 2)
Ga (0.2494, 0.5000, 0.7492) (multiplicity 4)
Ag (0.1278, 0.0000, 0.6279) (multiplicity 4)
Ag (0.1278, 0.5000, 0.1276) (multiplicity 4)
Au (0.0000, 0.5000, 0.5000) (multiplicity 2)